Structure and theoretical powder diffractogram of La2Ni4AsP3 (a structure optimized by DFT (GGA-PBE); copper Kα).
Neutral-atom scattering factors, no anomalous dispersion.

Atomic structure:
```
10
Lattice="4.1367 0.0000 0.0000 0.0000 4.1367 0.0000 0.0000 0.0000 9.3227" Properties=species:S:1:pos:R:3 pbc="T T T"
La 0.0000 2.0684 2.2942
La 2.0684 0.0000 7.0285
Ni 0.0000 0.0000 0.0000
Ni 0.0000 2.0684 5.7870
Ni 2.0684 0.0000 3.5357
Ni 2.0684 2.0684 0.0000
As 0.0000 0.0000 4.6614
P 0.0000 2.0684 8.1451
P 2.0684 0.0000 1.1776
P 2.0684 2.0684 4.6614
```

Most intense lines, 2θ = 15–90°, low angle first:
- d = 3.781 Å, I 24.7, hkl 1 0 1
- d = 2.485 Å, I 68.5, hkl 1 0 3
- d = 2.478 Å, I 100.0, hkl 1 1 2
- d = 2.068 Å, I 56.1, hkl 2 0 0
- d = 1.590 Å, I 33.6, hkl 2 1 3
- d = 1.260 Å, I 30.0, hkl 3 1 2